No. 1
Diffraction record for ZrPbF6. The powder XRD pattern is calculated, not measured: it uses a structure optimized by DFT (GGA-PBE) and Cu Kα, 1.54184 Å.

a = 6.8174 Å, b = 6.8174 Å, c = 5.4687 Å
α = 90.00°, β = 90.00°, γ = 111.40°
Element x y z (fractional)
Zr 0.2500 0.2500 0.0000
Zr 0.7500 0.7500 0.0000
Pb 0.2500 0.7500 0.5264
Pb 0.7500 0.2500 0.4736
F 0.0607 0.3150 0.7426
F 0.0735 0.9265 0.8449
F 0.1850 0.4393 0.2574
F 0.3150 0.0607 0.2574
F 0.4265 0.5735 0.8449
F 0.4393 0.1850 0.7426
F 0.5607 0.8150 0.2574
F 0.5735 0.4265 0.1551
F 0.6850 0.9393 0.7426
F 0.8150 0.5607 0.7426
F 0.9265 0.0735 0.1551
F 0.9393 0.6850 0.2574

The 10 most intense peaks (2θ = 10–80°), by intensity:
d [Å]  Position (°2θ)  I/Imax
3.923  22.7  100.0
3.174  28.1  45.2
3.143  28.4  43.4
2.097  43.1  36.0
2.071  43.7  33.1
1.962  46.3  21.0
1.725  53.1  20.1
2.745  32.6  12.4
1.687  54.4  11.0
2.271  39.7  10.9

---

No. 2
Diffraction record for PdF3. The powder XRD pattern is calculated, not measured: it uses a structure optimized by DFT (GGA-PBE) and Cu Kα, 1.54184 Å.

a = 5.6175 Å, b = 5.6175 Å, c = 5.6175 Å
α = 54.96°, β = 54.96°, γ = 54.96°
Element x y z (fractional)
Pd 0.0000 0.0000 0.0000
Pd 0.5000 0.5000 0.5000
F 0.1080 0.7500 0.3920
F 0.2500 0.6080 0.8920
F 0.3920 0.1080 0.7500
F 0.6080 0.8920 0.2500
F 0.7500 0.3920 0.1080
F 0.8920 0.2500 0.6080

The 10 most intense peaks (2θ = 10–80°), by intensity:
d [Å]  Position (°2θ)  I/Imax
3.799  23.4  100.0
2.792  32.1  36.6
1.752  52.2  30.5
2.592  34.6  17.5
1.651  55.7  16.0
1.900  47.9  15.5
2.141  42.2  15.1
1.532  60.4  12.9
1.496  62.0  11.8
2.276  39.6  9.2